[1]
Starting from a PBE-relaxed structure, the X-ray diffraction stick pattern of Cs2Nb2TlO7 was simulated for Cu Kα (λ = 1.5418 Å).

Principal peaks in the range 2θ from 10° to 90°, sorted by position:
2θ = 28.2°, I 100
2θ = 28.4°, I 93
2θ = 30.9°, I 88
2θ = 36.3°, I 22
2θ = 38.1°, I 12
2θ = 44.3°, I 46
2θ = 48.5°, I 16
2θ = 53.2°, I 20
2θ = 53.4°, I 17
2θ = 53.6°, I 31
2θ = 58.4°, I 12
2θ = 64.4°, I 13

abc: 5.785 5.772 12.685
angles: 90.00 102.69 90.00
Space group C2/m (No. 12)
One atom of each set of equivalent atoms:
Cs: 0.191 0.000 0.376 x4
Nb: 0.105 0.500 0.177 x4
Tl: 0.000 0.000 0.000 x2
O: 0.000 0.500 0.000 x2
O: 0.160 0.500 0.328 x4
O: 0.174 0.252 0.835 x8

[2]
Starting from a PBE-relaxed structure, the X-ray diffraction stick pattern of CsNbZnO4 was simulated for Cu Kα (λ = 1.5418 Å).

Principal peaks in the range 2θ from 10° to 90°, sorted by position:
2θ = 16.0°, I 24
2θ = 22.1°, I 100
2θ = 22.8°, I 41
2θ = 23.9°, I 90
2θ = 26.6°, I 41
2θ = 27.0°, I 46
2θ = 30.6°, I 55
2θ = 30.7°, I 41
2θ = 32.4°, I 27
2θ = 37.8°, I 47
2θ = 49.5°, I 23
2θ = 57.2°, I 23

abc: 5.620 5.850 9.814
angles: 90.00 100.31 90.00
Space group P2_1/m (No. 11)
One atom of each set of equivalent atoms:
Cs: 0.222 0.250 0.343 x2
Nb: 0.253 0.250 0.802 x2
Zn: 0.143 0.750 0.026 x2
O: 0.119 0.250 0.620 x2
O: 0.123 0.000 0.889 x4
O: 0.406 0.750 0.181 x2

[3]
Starting from a PBE-relaxed structure, the X-ray diffraction stick pattern of Cs6NbP4 was simulated for Cu Kα (λ = 1.5418 Å).

Principal peaks in the range 2θ from 10° to 90°, sorted by position:
2θ = 21.3°, I 50
2θ = 22.2°, I 40
2θ = 26.8°, I 100
2θ = 27.6°, I 77
2θ = 30.0°, I 34
2θ = 31.8°, I 22
2θ = 32.7°, I 48
2θ = 41.9°, I 22
2θ = 46.5°, I 29
2θ = 49.1°, I 25
2θ = 52.2°, I 19
2θ = 69.6°, I 17

abc: 10.9547 10.9547 8.8431
angles: 90.00 90.00 120.00
Space group P6_3mc (No. 186)
One atom of each set of equivalent atoms:
Cs: 0.0711 0.5356 0.0000 x6
Cs: 0.1452 0.2905 0.3172 x6
Nb: 0.3333 0.6667 0.6035 x2
P: 0.2117 0.4233 0.6887 x6
P: 0.3333 0.6667 0.3314 x2

[4]
Starting from a PBE-relaxed structure, the X-ray diffraction stick pattern of CsNb2PSe10 was simulated for Cu Kα (λ = 1.5418 Å).

Principal peaks in the range 2θ from 10° to 90°, sorted by position:
2θ = 10.6°, I 58
2θ = 11.5°, I 100
2θ = 15.7°, I 64
2θ = 21.3°, I 23
2θ = 24.7°, I 27
2θ = 25.6°, I 40
2θ = 26.0°, I 23
2θ = 29.0°, I 24
2θ = 34.2°, I 24
2θ = 36.1°, I 31
2θ = 37.7°, I 24
2θ = 41.9°, I 25

abc: 15.353 8.337 13.717
angles: 90.00 92.94 90.00
Space group Pc (No. 7)
One atom of each set of equivalent atoms:
Cs: 0.000 0.002 0.000 x2
Cs: 0.499 0.013 0.254 x2
Nb: 0.270 0.438 0.601 x2
Nb: 0.271 0.446 0.894 x2
Nb: 0.771 0.443 0.360 x2
Nb: 0.773 0.441 0.653 x2
P: 0.206 0.104 0.748 x2
P: 0.707 0.104 0.503 x2
Se: 0.117 0.097 0.250 x2
Se: 0.146 0.368 0.457 x2
Se: 0.149 0.372 0.022 x2
Se: 0.151 0.356 0.742 x2
Se: 0.282 0.111 0.614 x2
Se: 0.290 0.120 0.886 x2
Se: 0.290 0.338 0.246 x2
Se: 0.390 0.356 0.479 x2
Se: 0.391 0.445 0.754 x2
Se: 0.395 0.377 0.028 x2
Se: 0.617 0.097 0.004 x2
Se: 0.648 0.376 0.217 x2
Se: 0.650 0.364 0.782 x2
Se: 0.652 0.357 0.501 x2
Se: 0.782 0.114 0.368 x2
Se: 0.792 0.337 0.008 x2
Se: 0.793 0.116 0.640 x2
Se: 0.892 0.446 0.514 x2
Se: 0.893 0.366 0.789 x2
Se: 0.894 0.368 0.240 x2

[5]
Starting from a PBE-relaxed structure, the X-ray diffraction stick pattern of Cs2NbPtSe4 was simulated for Cu Kα (λ = 1.5418 Å).

Principal peaks in the range 2θ from 10° to 90°, sorted by position:
2θ = 13.5°, I 51
2θ = 13.9°, I 51
2θ = 23.7°, I 75
2θ = 25.7°, I 100
2θ = 29.1°, I 34
2θ = 32.4°, I 27
2θ = 36.4°, I 52
2θ = 42.5°, I 29
2θ = 44.3°, I 21
2θ = 46.1°, I 24
2θ = 48.2°, I 32
2θ = 53.5°, I 18

abc: 5.972 14.623 26.214
angles: 90.00 90.00 90.00
Space group Fddd (No. 70, origin choice 2)
One atom of each set of equivalent atoms:
Cs: 0.125 0.125 0.304 x16
Nb: 0.125 0.125 0.125 x8
Pt: 0.125 0.125 0.625 x8
Se: 0.114 0.280 0.429 x32

[6]
Starting from a PBE-relaxed structure, the X-ray diffraction stick pattern of Cs3Pu3NbS8 was simulated for Cu Kα (λ = 1.5418 Å).

Principal peaks in the range 2θ from 10° to 90°, sorted by position:
2θ = 10.8°, I 49
2θ = 14.7°, I 18
2θ = 21.7°, I 38
2θ = 26.8°, I 56
2θ = 29.7°, I 100
2θ = 39.2°, I 38
2θ = 45.2°, I 25
2θ = 45.5°, I 34
2θ = 50.9°, I 27
2θ = 55.3°, I 17
2θ = 65.3°, I 14
2θ = 74.3°, I 14

abc: 7.9739 7.9739 24.6255
angles: 90.00 90.00 120.00
Space group R-3m (No. 166, hexagonal axes)
One atom of each set of equivalent atoms:
Cs: 0.0000 0.5000 0.0000 x9
Pu: 0.0000 0.5000 0.5000 x9
Nb: 0.0000 0.0000 0.5000 x3
S: 0.0000 0.0000 0.2273 x6
S: 0.0216 0.5108 0.2241 x18